Theoretical powder XRD pattern
Compound: Ho4Tm3PaAs8
Radiation: Cu Kα, 1.54184 Å
Structure: a GGA-PBE-relaxed structure
Peak positions follow from Bragg's law for the DFT cell and can differ from measured ones.

The 10 most intense peaks (2θ = 15–90°), sorted by position:
- 26.76°, 3.332 Å, intensity 27
- 30.99°, 2.885 Å, intensity 100
- 44.40°, 2.040 Å, intensity 75
- 52.60°, 1.740 Å, intensity 14
- 55.13°, 1.666 Å, intensity 26
- 64.60°, 1.443 Å, intensity 12
- 71.23°, 1.324 Å, intensity 6
- 73.37°, 1.290 Å, intensity 34
- 81.76°, 1.178 Å, intensity 25
- 87.92°, 1.111 Å, intensity 5

Structural model:
abc: 8.1635 8.1635 8.1635
angles: 59.96 59.96 59.96
Sites, in units of the cell vectors:
Ho 0.0000 0.0000 0.0000
Ho 0.0000 0.5000 0.5000
Ho 0.5000 0.0000 0.5000
Ho 0.5000 0.5000 0.0000
Tm 0.0000 0.0000 0.5000
Tm 0.0000 0.5000 0.0000
Tm 0.5000 0.0000 0.0000
Pa 0.5000 0.5000 0.5000
As 0.2492 0.2492 0.2492
As 0.2500 0.7484 0.7484
As 0.2516 0.2516 0.7500
As 0.2516 0.7500 0.2516
As 0.7484 0.2500 0.7484
As 0.7484 0.7484 0.2500
As 0.7500 0.2516 0.2516
As 0.7508 0.7508 0.7508